Na3YNp2Se6: calculated powder diffraction line list (Cu Kα X-rays), based on a structure optimized by DFT (PBE).
Kinematic intensities with the Lorentz-polarization factor, no thermal factor.

Structure:
```
Na3YNp2Se6
1.0
3.620 -6.271 0.000
3.620 6.271 0.000
-2.413 0.000 6.991
Na Y Np Se
3 1 2 6
Direct
0.000 0.000 0.000 Na
0.334 0.666 0.000 Na
0.666 0.334 0.000 Na
0.500 0.500 0.500 Y
0.167 0.833 0.500 Np
0.833 0.167 0.500 Np
0.091 0.423 0.269 Se
0.245 0.245 0.731 Se
0.423 0.091 0.269 Se
0.577 0.909 0.731 Se
0.755 0.755 0.269 Se
0.909 0.577 0.731 Se
```

Main lines, sorted by position (15° ≤ 2θ ≤ 90°):
2theta  Rel. int.
25.0  27
30.0  100
42.6  37
43.3  37
53.6  20
71.2  17

=====

Zn5Ag2: calculated powder diffraction line list (Cu Kα X-rays), based on a structure optimized by DFT (PBE).
Kinematic intensities with the Lorentz-polarization factor, no thermal factor.

Structure:
```
Zn5Ag2
1.0
2.263 1.307 6.273
-2.263 1.307 6.273
0.000 -2.614 6.273
Zn Ag
5 2
Direct
0.000 0.000 0.000 Zn
0.286 0.286 0.286 Zn
0.427 0.427 0.427 Zn
0.573 0.573 0.573 Zn
0.714 0.714 0.714 Zn
0.139 0.139 0.139 Ag
0.861 0.861 0.861 Ag
```

Main lines, sorted by position (15° ≤ 2θ ≤ 90°):
2theta  Rel. int.
39.8  100
40.7  93
58.3  31
72.3  16
72.9  30
74.6  14

=====

MnHg2: calculated powder diffraction line list (Cu Kα X-rays), based on a structure optimized by DFT (PBE).
Kinematic intensities with the Lorentz-polarization factor, no thermal factor.

Structure:
```
MnHg2
1.0
4.519 0.000 0.000
0.000 1.577 8.910
0.000 -1.577 8.910
Mn Hg
2 4
Direct
0.000 0.000 0.000 Mn
0.000 0.365 0.365 Mn
0.000 0.696 0.696 Hg
0.500 0.116 0.116 Hg
0.500 0.463 0.463 Hg
0.500 0.807 0.807 Hg
```

Main lines, sorted by position (15° ≤ 2θ ≤ 90°):
2theta  Rel. int.
32.1  41
36.2  62
37.9  100
39.9  31
52.1  22
70.8  18

=====

Li4Cd7Pd: calculated powder diffraction line list (Cu Kα X-rays), based on a structure optimized by DFT (PBE).
Kinematic intensities with the Lorentz-polarization factor, no thermal factor.

Structure:
```
Li4Cd7Pd
1.0
5.425 0.000 0.000
-0.193 5.738 0.000
-0.415 -2.262 7.426
Li Cd Pd
4 7 1
Direct
0.146 0.355 0.276 Li
0.287 0.875 0.257 Li
0.713 0.125 0.743 Li
0.854 0.645 0.724 Li
0.171 0.250 0.631 Cd
0.239 0.004 0.930 Cd
0.356 0.727 0.572 Cd
0.500 0.500 0.000 Cd
0.644 0.273 0.428 Cd
0.761 0.996 0.070 Cd
0.829 0.750 0.369 Cd
0.000 0.500 0.000 Pd
```

Main lines, sorted by position (15° ≤ 2θ ≤ 90°):
2theta  Rel. int.
24.0  83
31.3  100
37.8  84
38.1  76
38.4  82
39.1  77

=====

In3Ni7C: calculated powder diffraction line list (Cu Kα X-rays), based on a structure optimized by DFT (PBE).
Kinematic intensities with the Lorentz-polarization factor, no thermal factor.

Structure:
```
In3Ni7C
1.0
7.395 0.000 0.000
0.000 7.395 0.000
0.000 0.000 5.516
In Ni C
6 14 2
Direct
0.000 0.000 0.000 In
0.170 0.330 0.500 In
0.330 0.830 0.500 In
0.500 0.500 0.000 In
0.670 0.170 0.500 In
0.830 0.670 0.500 In
0.000 0.000 0.500 Ni
0.127 0.627 0.239 Ni
0.127 0.627 0.761 Ni
0.176 0.324 0.000 Ni
0.324 0.824 0.000 Ni
0.373 0.127 0.239 Ni
0.373 0.127 0.761 Ni
0.500 0.500 0.500 Ni
0.627 0.873 0.239 Ni
0.627 0.873 0.761 Ni
0.676 0.176 0.000 Ni
0.824 0.676 0.000 Ni
0.873 0.373 0.239 Ni
0.873 0.373 0.761 Ni
0.000 0.500 0.000 C
0.500 0.000 0.000 C
```

Main lines, sorted by position (15° ≤ 2θ ≤ 90°):
2theta  Rel. int.
34.3  22
36.8  18
38.5  75
42.7  100
47.9  16
84.0  18

=====

AgSbPb2: calculated powder diffraction line list (Cu Kα X-rays), based on a structure optimized by DFT (PBE).
Kinematic intensities with the Lorentz-polarization factor, no thermal factor.

Structure:
```
AgSbPb2
1.0
3.379 0.000 0.000
0.000 4.027 0.000
0.000 0.000 8.020
Ag Sb Pb
1 1 2
Direct
0.000 0.000 0.000 Ag
0.000 0.000 0.500 Sb
0.500 0.500 0.227 Pb
0.500 0.500 0.773 Pb
```

Main lines, sorted by position (15° ≤ 2θ ≤ 90°):
2theta  Rel. int.
31.5  63
34.7  100
45.0  12
58.1  22
58.2  19
64.1  18

=====

Tm2Tl3Cl9: calculated powder diffraction line list (Cu Kα X-rays), based on a structure optimized by DFT (PBE).
Kinematic intensities with the Lorentz-polarization factor, no thermal factor.

Structure:
```
Tm2Tl3Cl9
1.0
6.451 3.724 6.080
-6.451 3.724 6.080
0.000 -7.449 6.080
Tm Tl Cl
4 6 18
Direct
0.147 0.147 0.147 Tm
0.353 0.353 0.353 Tm
0.647 0.647 0.647 Tm
0.853 0.853 0.853 Tm
0.056 0.750 0.444 Tl
0.250 0.556 0.944 Tl
0.444 0.056 0.750 Tl
0.556 0.944 0.250 Tl
0.750 0.444 0.056 Tl
0.944 0.250 0.556 Tl
0.068 0.275 0.922 Cl
0.078 0.932 0.725 Cl
0.098 0.402 0.250 Cl
0.225 0.432 0.578 Cl
0.250 0.098 0.402 Cl
0.275 0.922 0.068 Cl
0.402 0.250 0.098 Cl
0.422 0.775 0.568 Cl
0.432 0.578 0.225 Cl
0.568 0.422 0.775 Cl
0.578 0.225 0.432 Cl
0.598 0.750 0.902 Cl
0.725 0.078 0.932 Cl
0.750 0.902 0.598 Cl
0.775 0.568 0.422 Cl
0.902 0.598 0.750 Cl
0.922 0.068 0.275 Cl
0.932 0.725 0.078 Cl
```

Main lines, sorted by position (15° ≤ 2θ ≤ 90°):
2theta  Rel. int.
20.1  82
23.9  100
31.4  89
32.6  37
40.8  37
48.9  25

=====

K4Pr3ErTe8: calculated powder diffraction line list (Cu Kα X-rays), based on a structure optimized by DFT (PBE).
Kinematic intensities with the Lorentz-polarization factor, no thermal factor.

Structure:
```
K4Pr3ErTe8
1.0
4.605 2.659 8.260
-4.605 2.659 8.260
0.000 -5.318 8.260
K Pr Er Te
4 3 1 8
Direct
0.000 0.000 0.000 K
0.000 0.500 0.500 K
0.500 0.000 0.500 K
0.500 0.500 0.000 K
0.000 0.000 0.500 Pr
0.000 0.500 0.000 Pr
0.500 0.000 0.000 Pr
0.500 0.500 0.500 Er
0.239 0.239 0.239 Te
0.247 0.732 0.732 Te
0.268 0.268 0.753 Te
0.268 0.753 0.268 Te
0.732 0.247 0.732 Te
0.732 0.732 0.247 Te
0.753 0.268 0.268 Te
0.761 0.761 0.761 Te
```

Main lines, sorted by position (15° ≤ 2θ ≤ 90°):
2theta  Rel. int.
26.6  100
33.9  16
36.7  36
39.1  37
47.9  19
63.5  16

=====

AcFe4Ge4: calculated powder diffraction line list (Cu Kα X-rays), based on a structure optimized by DFT (PBE).
Kinematic intensities with the Lorentz-polarization factor, no thermal factor.

Structure:
```
AcFe4Ge4
1.0
-4.102 4.102 2.230
4.102 -4.102 2.230
4.102 4.102 -2.230
Ac Fe Ge
1 4 4
Direct
0.000 0.000 0.000 Ac
0.096 0.611 0.707 Fe
0.389 0.096 0.486 Fe
0.611 0.904 0.514 Fe
0.904 0.389 0.293 Fe
0.221 0.349 0.570 Ge
0.349 0.779 0.128 Ge
0.651 0.221 0.872 Ge
0.779 0.651 0.430 Ge
```

Main lines, sorted by position (15° ≤ 2θ ≤ 90°):
2theta  Rel. int.
31.6  100
34.6  78
40.4  46
44.7  54
54.2  43
60.1  40

=====

Ca4Au2O: calculated powder diffraction line list (Cu Kα X-rays), based on a structure optimized by DFT (PBE).
Kinematic intensities with the Lorentz-polarization factor, no thermal factor.

Structure:
```
Ca4Au2O
1.0
-2.319 2.319 7.879
2.319 -2.319 7.879
2.319 2.319 -7.879
Ca Au O
4 2 1
Direct
0.000 0.500 0.500 Ca
0.173 0.173 0.000 Ca
0.500 0.000 0.500 Ca
0.827 0.827 0.000 Ca
0.364 0.364 0.000 Au
0.636 0.636 0.000 Au
0.000 0.000 0.000 O
```

Main lines, sorted by position (15° ≤ 2θ ≤ 90°):
2theta  Rel. int.
20.0  72
22.6  32
25.6  68
27.2  74
35.6  100
38.8  58